1.
Simulated XRD peak list of SnHgIr2 for Cu Kα X-rays, from a DFT-relaxed cell (GGA-PBE, Alexandria).
Peak positions follow from Bragg's law for the DFT cell and can differ from measured ones.

```
data_SnHgIr2
_chemical_formula_sum 'Sn4 Hg4 Ir8'
_cell_length_a 6.541
_cell_length_b 6.541
_cell_length_c 6.541
_cell_angle_alpha 90.00
_cell_angle_beta 90.00
_cell_angle_gamma 90.00
_symmetry_space_group_name_H-M 'F m -3 m'
_symmetry_Int_Tables_number 225
_symmetry_space_group_name_Hall '-F 4 2 3'
loop_
_atom_site_label
_atom_site_type_symbol
_atom_site_fract_x
_atom_site_fract_y
_atom_site_fract_z
_atom_site_occupancy
Sn1 Sn 0.000 0.000 0.000 1
Hg1 Hg 0.000 0.000 0.500 1
Ir1 Ir 0.250 0.250 0.250 1
```

Largest 6 diffraction maxima, in order of falling intensity, 5° ≤ 2θ ≤ 70°:
- 2θ 38.95, intensity 100, hkl 2 2 0
- 2θ 56.26, intensity 17, hkl 4 0 0
- 2θ 23.56, intensity 3, hkl 1 1 1
- 2θ 46.02, intensity 2, hkl 3 1 1
- 2θ 27.27, intensity 1, hkl 2 0 0
- 2θ 61.83, intensity 1, hkl 3 3 1

=====

2.
Simulated XRD peak list of Sn4HgIr for Cu Kα X-rays, from a DFT-relaxed cell (GGA-PBE, Alexandria).
Peak positions follow from Bragg's law for the DFT cell and can differ from measured ones.

```
data_Sn4HgIr
_chemical_formula_sum 'Sn4 Hg1 Ir1'
_cell_length_a 4.668
_cell_length_b 4.604
_cell_length_c 7.439
_cell_angle_alpha 90.00
_cell_angle_beta 97.08
_cell_angle_gamma 90.00
_symmetry_space_group_name_H-M 'P 1 2/m 1'
_symmetry_Int_Tables_number 10
loop_
_symmetry_equiv_pos_as_xyz
'x,y,z'
'-x,-y,-z'
'-x,y,-z'
'x,-y,z'
loop_
_atom_site_label
_atom_site_type_symbol
_atom_site_fract_x
_atom_site_fract_y
_atom_site_fract_z
_atom_site_occupancy
Sn1 Sn 0.004 0.000 0.213 1
Sn2 Sn 0.468 0.500 0.786 1
Hg1 Hg 0.500 0.000 0.500 1
Ir1 Ir 0.000 0.500 0.000 1
```

Largest 10 diffraction maxima, in order of falling intensity, 5° ≤ 2θ ≤ 70°:
- 2θ 35.07, intensity 100, hkl 1 1 -2
- 2θ 38.36, intensity 88, hkl 1 1 2
- 2θ 22.76, intensity 70, hkl 0 1 1
- 2θ 39.13, intensity 45, hkl 0 2 0
- 2θ 38.88, intensity 44, hkl 2 0 0
- 2θ 23.90, intensity 39, hkl 1 0 1
- 2θ 21.35, intensity 33, hkl 1 0 -1
- 2θ 56.35, intensity 30, hkl 2 2 0
- 2θ 44.13, intensity 28, hkl 2 1 -1
- 2θ 65.83, intensity 18, hkl 3 1 -2

=====

3.
Simulated XRD peak list of SrHgIr2 for Cu Kα X-rays, from a DFT-relaxed cell (GGA-PBE, Alexandria).
Peak positions follow from Bragg's law for the DFT cell and can differ from measured ones.

```
data_SrHgIr2
_chemical_formula_sum 'Sr1 Hg1 Ir2'
_cell_length_a 3.067
_cell_length_b 3.067
_cell_length_c 8.635
_cell_angle_alpha 90.00
_cell_angle_beta 90.00
_cell_angle_gamma 90.00
_symmetry_space_group_name_H-M 'P 4 m m'
_symmetry_Int_Tables_number 99
loop_
_symmetry_equiv_pos_as_xyz
'x,y,z'
'-y,x,z'
'-x,-y,z'
'y,-x,z'
'-x,y,z'
'y,x,z'
'x,-y,z'
'-y,-x,z'
loop_
_atom_site_label
_atom_site_type_symbol
_atom_site_fract_x
_atom_site_fract_y
_atom_site_fract_z
_atom_site_occupancy
Sr1 Sr 0.000 0.000 0.000 1
Hg1 Hg 0.500 0.500 0.298 1
Ir1 Ir 0.000 0.000 0.551 1
Ir2 Ir 0.500 0.500 0.721 1
```

Largest 10 diffraction maxima, in order of falling intensity, 5° ≤ 2θ ≤ 70°:
- 2θ 35.91, intensity 100, hkl 1 0 2
- 2θ 10.24, intensity 47, hkl 0 0 1
- 2θ 41.64, intensity 41, hkl 1 1 0
- 2θ 43.10, intensity 19, hkl 1 0 3
- 2θ 60.35, intensity 14, hkl 2 0 0
- 2θ 61.63, intensity 12, hkl 1 0 5
- 2θ 60.51, intensity 11, hkl 1 1 4
- 2θ 41.85, intensity 8, hkl 0 0 4
- 2θ 31.07, intensity 7, hkl 0 0 3
- 2θ 52.85, intensity 6, hkl 1 1 3

=====

4.
Simulated XRD peak list of Tb6Hg2Ir for Cu Kα X-rays, from a DFT-relaxed cell (GGA-PBE, Alexandria).
Peak positions follow from Bragg's law for the DFT cell and can differ from measured ones.

```
data_Tb6Hg2Ir
_chemical_formula_sum 'Tb24 Hg8 Ir4'
_cell_length_a 9.633
_cell_length_b 9.919
_cell_length_c 10.242
_cell_angle_alpha 90.00
_cell_angle_beta 90.00
_cell_angle_gamma 90.00
_symmetry_space_group_name_H-M 'I m m m'
_symmetry_Int_Tables_number 71
_symmetry_space_group_name_Hall '-I 2 2'
loop_
_atom_site_label
_atom_site_type_symbol
_atom_site_fract_x
_atom_site_fract_y
_atom_site_fract_z
_atom_site_occupancy
Tb1 Tb 0.000 0.169 0.247 1
Tb2 Tb 0.169 0.500 0.233 1
Tb3 Tb 0.233 0.317 0.500 1
Hg1 Hg 0.000 0.354 0.000 1
Hg2 Hg 0.145 0.000 0.500 1
Ir1 Ir 0.000 0.000 0.000 1
Ir2 Ir 0.000 0.500 0.500 1
```

Largest 10 diffraction maxima, in order of falling intensity, 5° ≤ 2θ ≤ 70°:
- 2θ 33.58, intensity 100, hkl 1 3 2
- 2θ 34.04, intensity 79, hkl 2 3 1
- 2θ 35.05, intensity 78, hkl 0 0 4
- 2θ 34.18, intensity 78, hkl 3 1 2
- 2θ 31.23, intensity 71, hkl 2 2 2
- 2θ 42.44, intensity 38, hkl 2 3 3
- 2θ 55.58, intensity 29, hkl 0 6 0
- 2θ 29.16, intensity 28, hkl 3 0 1
- 2θ 38.49, intensity 26, hkl 3 0 3
- 2θ 67.43, intensity 22, hkl 0 6 4

=====

5.
Simulated XRD peak list of Tb5Tl2HgIr2 for Cu Kα X-rays, from a DFT-relaxed cell (GGA-PBE, Alexandria).
Peak positions follow from Bragg's law for the DFT cell and can differ from measured ones.

```
data_Tb5Tl2HgIr2
_chemical_formula_sum 'Tb10 Tl4 Hg2 Ir4'
_cell_length_a 12.017
_cell_length_b 12.017
_cell_length_c 3.669
_cell_angle_alpha 90.00
_cell_angle_beta 90.00
_cell_angle_gamma 90.00
_symmetry_space_group_name_H-M 'P 4/m b m'
_symmetry_Int_Tables_number 127
_symmetry_space_group_name_Hall '-P 4 2ab'
loop_
_atom_site_label
_atom_site_type_symbol
_atom_site_fract_x
_atom_site_fract_y
_atom_site_fract_z
_atom_site_occupancy
Tb1 Tb 0.000 0.500 0.000 1
Tb2 Tb 0.078 0.205 0.000 1
Tl1 Tl 0.172 0.672 0.500 1
Hg1 Hg 0.000 0.000 0.500 1
Ir1 Ir 0.131 0.369 0.500 1
```

Largest 10 diffraction maxima, in order of falling intensity, 5° ≤ 2θ ≤ 70°:
- 2θ 33.96, intensity 100, hkl 3 1 1
- 2θ 30.68, intensity 35, hkl 4 1 0
- 2θ 36.42, intensity 34, hkl 3 2 1
- 2θ 33.34, intensity 25, hkl 4 2 0
- 2θ 49.70, intensity 15, hkl 0 0 2
- 2θ 32.24, intensity 14, hkl 2 2 1
- 2θ 31.59, intensity 13, hkl 3 3 0
- 2θ 60.03, intensity 12, hkl 3 3 2
- 2θ 59.54, intensity 11, hkl 4 1 2
- 2θ 52.02, intensity 11, hkl 6 0 1

=====

6.
Simulated XRD peak list of HgTeIr for Cu Kα X-rays, from a DFT-relaxed cell (GGA-PBE, Alexandria).
Peak positions follow from Bragg's law for the DFT cell and can differ from measured ones.

```
data_HgTeIr
_chemical_formula_sum 'Hg1 Te1 Ir1'
_cell_length_a 3.7348
_cell_length_b 3.7348
_cell_length_c 6.0101
_cell_angle_alpha 90.00
_cell_angle_beta 90.00
_cell_angle_gamma 120.00
_symmetry_space_group_name_H-M 'P 3 m 1'
_symmetry_Int_Tables_number 156
loop_
_symmetry_equiv_pos_as_xyz
'x,y,z'
'-y,x-y,z'
'-x+y,-x,z'
'-y,-x,z'
'-x+y,y,z'
'x,x-y,z'
loop_
_atom_site_label
_atom_site_type_symbol
_atom_site_fract_x
_atom_site_fract_y
_atom_site_fract_z
_atom_site_occupancy
Hg1 Hg 0.0000 0.0000 0.0000 1
Te1 Te 0.3333 0.6667 0.5471 1
Ir1 Ir 0.6667 0.3333 0.3140 1
```

Largest 10 diffraction maxima, in order of falling intensity, 5° ≤ 2θ ≤ 70°:
- 2θ 31.41, intensity 100, hkl 1 0 1
- 2θ 41.00, intensity 46, hkl 0 1 2
- 2θ 48.76, intensity 31, hkl 1 1 0
- 2θ 59.16, intensity 17, hkl 0 2 1
- 2θ 14.74, intensity 15, hkl 0 0 1
- 2θ 53.83, intensity 14, hkl 0 1 3
- 2θ 65.55, intensity 12, hkl 2 0 2
- 2θ 68.72, intensity 10, hkl 1 1 3
- 2θ 45.26, intensity 6, hkl 0 0 3
- 2θ 68.91, intensity 5, hkl 1 0 4

=====

7.
Simulated XRD peak list of Tm3HgIr for Cu Kα X-rays, from a DFT-relaxed cell (GGA-PBE, Alexandria).
Peak positions follow from Bragg's law for the DFT cell and can differ from measured ones.

```
data_Tm3HgIr
_chemical_formula_sum 'Tm6 Hg2 Ir2'
_cell_length_a 4.534
_cell_length_b 6.777
_cell_length_c 8.430
_cell_angle_alpha 90.00
_cell_angle_beta 90.00
_cell_angle_gamma 90.00
_symmetry_space_group_name_H-M 'P m m n'
_symmetry_Int_Tables_number 59
loop_
_symmetry_equiv_pos_as_xyz
'x,y,z'
'-x,-y,-z'
'-x+1/2,-y+1/2,z'
'x+1/2,y+1/2,-z'
'x+1/2,-y,-z'
'-x+1/2,y,z'
'-x,y+1/2,-z'
'x,-y+1/2,z'
loop_
_atom_site_label
_atom_site_type_symbol
_atom_site_fract_x
_atom_site_fract_y
_atom_site_fract_z
_atom_site_occupancy
Tm1 Tm 0.250 0.002 0.155 1
Tm2 Tm 0.250 0.750 0.563 1
Hg1 Hg 0.250 0.250 0.674 1
Ir1 Ir 0.250 0.750 0.888 1
```

Largest 10 diffraction maxima, in order of falling intensity, 5° ≤ 2θ ≤ 70°:
- 2θ 34.72, intensity 100, hkl 1 2 1
- 2θ 39.76, intensity 33, hkl 2 0 0
- 2θ 28.92, intensity 33, hkl 1 0 2
- 2θ 31.85, intensity 28, hkl 0 0 3
- 2θ 40.02, intensity 21, hkl 1 1 3
- 2θ 28.39, intensity 17, hkl 0 2 1
- 2θ 24.88, intensity 15, hkl 0 1 2
- 2θ 34.55, intensity 15, hkl 0 1 3
- 2θ 46.52, intensity 14, hkl 1 2 3
- 2θ 68.94, intensity 14, hkl 3 2 1

=====

8.
Simulated XRD peak list of Tm8Hg2Ir for Cu Kα X-rays, from a DFT-relaxed cell (GGA-PBE, Alexandria).
Peak positions follow from Bragg's law for the DFT cell and can differ from measured ones.

```
data_Tm8Hg2Ir
_chemical_formula_sum 'Tm16 Hg4 Ir2'
_cell_length_a 17.514
_cell_length_b 5.140
_cell_length_c 6.769
_cell_angle_alpha 90.00
_cell_angle_beta 107.59
_cell_angle_gamma 90.00
_symmetry_space_group_name_H-M 'C 1 2/m 1'
_symmetry_Int_Tables_number 12
loop_
_symmetry_equiv_pos_as_xyz
'x,y,z'
'-x,-y,-z'
'-x,y,-z'
'x,-y,z'
'x+1/2,y+1/2,z'
'-x+1/2,-y+1/2,-z'
'-x+1/2,y+1/2,-z'
'x+1/2,-y+1/2,z'
loop_
_atom_site_label
_atom_site_type_symbol
_atom_site_fract_x
_atom_site_fract_y
_atom_site_fract_z
_atom_site_occupancy
Tm1 Tm 0.023 0.000 0.287 1
Tm2 Tm 0.089 0.500 0.929 1
Tm3 Tm 0.154 0.500 0.462 1
Tm4 Tm 0.201 0.000 0.808 1
Hg1 Hg 0.184 0.000 0.222 1
Ir1 Ir 0.000 0.500 0.500 1
```

Largest 10 diffraction maxima, in order of falling intensity, 5° ≤ 2θ ≤ 70°:
- 2θ 34.91, intensity 100, hkl 0 2 0
- 2θ 34.59, intensity 81, hkl 1 1 2
- 2θ 31.96, intensity 70, hkl 5 1 0
- 2θ 31.80, intensity 56, hkl 1 1 -2
- 2θ 32.61, intensity 54, hkl 2 0 2
- 2θ 36.78, intensity 53, hkl 5 1 -2
- 2θ 31.44, intensity 44, hkl 5 1 -1
- 2θ 29.76, intensity 35, hkl 3 1 1
- 2θ 40.16, intensity 31, hkl 7 1 -1
- 2θ 43.97, intensity 24, hkl 3 1 -3

=====

9.
Simulated XRD peak list of Tm4HgIr2 for Cu Kα X-rays, from a DFT-relaxed cell (GGA-PBE, Alexandria).
Peak positions follow from Bragg's law for the DFT cell and can differ from measured ones.

```
data_Tm4HgIr2
_chemical_formula_sum 'Tm16 Hg4 Ir8'
_cell_length_a 8.717
_cell_length_b 8.717
_cell_length_c 8.623
_cell_angle_alpha 90.00
_cell_angle_beta 90.00
_cell_angle_gamma 90.00
_symmetry_space_group_name_H-M 'I -4 2 d'
_symmetry_Int_Tables_number 122
_symmetry_space_group_name_Hall 'I -4 2bw'
loop_
_atom_site_label
_atom_site_type_symbol
_atom_site_fract_x
_atom_site_fract_y
_atom_site_fract_z
_atom_site_occupancy
Tm1 Tm 0.072 0.174 0.323 1
Hg1 Hg 0.000 0.000 0.000 1
Ir1 Ir 0.129 0.250 0.625 1
```

Largest 10 diffraction maxima, in order of falling intensity, 5° ≤ 2θ ≤ 70°:
- 2θ 32.50, intensity 100, hkl 3 0 1
- 2θ 38.72, intensity 71, hkl 3 2 1
- 2θ 32.81, intensity 51, hkl 1 0 3
- 2θ 66.12, intensity 21, hkl 6 1 1
- 2θ 38.93, intensity 18, hkl 2 1 3
- 2θ 54.00, intensity 15, hkl 3 1 4
- 2θ 68.07, intensity 14, hkl 6 0 2
- 2θ 49.25, intensity 14, hkl 3 2 3
- 2θ 53.63, intensity 10, hkl 4 3 1
- 2θ 51.75, intensity 9, hkl 2 2 4

=====

10.
Simulated XRD peak list of Tm3Hg2Ir for Cu Kα X-rays, from a DFT-relaxed cell (GGA-PBE, Alexandria).
Peak positions follow from Bragg's law for the DFT cell and can differ from measured ones.

```
data_Tm3Hg2Ir
_chemical_formula_sum 'Tm6 Hg4 Ir2'
_cell_length_a 5.008
_cell_length_b 7.321
_cell_length_c 7.885
_cell_angle_alpha 90.00
_cell_angle_beta 108.40
_cell_angle_gamma 90.00
_symmetry_space_group_name_H-M 'P 1 2/m 1'
_symmetry_Int_Tables_number 10
loop_
_symmetry_equiv_pos_as_xyz
'x,y,z'
'-x,-y,-z'
'-x,y,-z'
'x,-y,z'
loop_
_atom_site_label
_atom_site_type_symbol
_atom_site_fract_x
_atom_site_fract_y
_atom_site_fract_z
_atom_site_occupancy
Tm1 Tm 0.000 0.235 0.000 1
Tm2 Tm 0.326 0.226 0.653 1
Hg1 Hg 0.164 0.500 0.330 1
Hg2 Hg 0.500 0.000 0.000 1
Hg3 Hg 0.500 0.500 0.000 1
Ir1 Ir 0.162 0.000 0.324 1
```

Largest 10 diffraction maxima, in order of falling intensity, 5° ≤ 2θ ≤ 70°:
- 2θ 35.30, intensity 100, hkl 1 2 1
- 2θ 35.87, intensity 25, hkl 2 0 -1
- 2θ 36.01, intensity 24, hkl 0 0 3
- 2θ 64.10, intensity 18, hkl 3 2 0
- 2θ 62.95, intensity 17, hkl 2 4 -1
- 2θ 64.28, intensity 17, hkl 1 2 4
- 2θ 51.68, intensity 9, hkl 2 0 2
- 2θ 49.83, intensity 9, hkl 0 4 0
- 2θ 51.79, intensity 9, hkl 2 0 -4
- 2θ 45.15, intensity 1, hkl 1 3 1

=====

11.
Simulated XRD peak list of UHgIr for Cu Kα X-rays, from a DFT-relaxed cell (GGA-PBE, Alexandria).
Peak positions follow from Bragg's law for the DFT cell and can differ from measured ones.

```
data_UHgIr
_chemical_formula_sum 'U4 Hg4 Ir4'
_cell_length_a 9.306
_cell_length_b 3.705
_cell_length_c 8.064
_cell_angle_alpha 90.00
_cell_angle_beta 110.26
_cell_angle_gamma 90.00
_symmetry_space_group_name_H-M 'C 1 2/m 1'
_symmetry_Int_Tables_number 12
loop_
_symmetry_equiv_pos_as_xyz
'x,y,z'
'-x,-y,-z'
'-x,y,-z'
'x,-y,z'
'x+1/2,y+1/2,z'
'-x+1/2,-y+1/2,-z'
'-x+1/2,y+1/2,-z'
'x+1/2,-y+1/2,z'
loop_
_atom_site_label
_atom_site_type_symbol
_atom_site_fract_x
_atom_site_fract_y
_atom_site_fract_z
_atom_site_occupancy
U1 U 0.141 0.000 0.107 1
Hg1 Hg 0.119 0.500 0.427 1
Ir1 Ir 0.142 0.000 0.762 1
```

Largest 10 diffraction maxima, in order of falling intensity, 5° ≤ 2θ ≤ 70°:
- 2θ 37.84, intensity 100, hkl 1 1 2
- 2θ 34.36, intensity 73, hkl 2 0 -3
- 2θ 30.16, intensity 69, hkl 1 1 1
- 2θ 40.11, intensity 45, hkl 3 1 -2
- 2θ 41.37, intensity 41, hkl 4 0 0
- 2θ 49.18, intensity 28, hkl 0 2 0
- 2θ 61.37, intensity 28, hkl 2 2 -3
- 2θ 63.85, intensity 27, hkl 1 1 -5
- 2θ 47.48, intensity 25, hkl 2 0 3
- 2θ 66.16, intensity 21, hkl 4 2 0

=====

12.
Simulated XRD peak list of HgIrW4 for Cu Kα X-rays, from a DFT-relaxed cell (GGA-PBE, Alexandria).
Peak positions follow from Bragg's law for the DFT cell and can differ from measured ones.

```
data_HgIrW4
_chemical_formula_sum 'Hg4 Ir4 W16'
_cell_length_a 7.463
_cell_length_b 7.463
_cell_length_c 7.463
_cell_angle_alpha 90.00
_cell_angle_beta 90.00
_cell_angle_gamma 90.00
_symmetry_space_group_name_H-M 'F -4 3 m'
_symmetry_Int_Tables_number 216
_symmetry_space_group_name_Hall 'F -4 2 3'
loop_
_atom_site_label
_atom_site_type_symbol
_atom_site_fract_x
_atom_site_fract_y
_atom_site_fract_z
_atom_site_occupancy
Hg1 Hg 0.000 0.000 0.000 1
Ir1 Ir 0.250 0.250 0.750 1
W1 W 0.126 0.126 0.374 1
```

Largest 8 diffraction maxima, in order of falling intensity, 5° ≤ 2θ ≤ 70°:
- 2θ 40.07, intensity 100, hkl 3 1 1
- 2θ 41.93, intensity 38, hkl 2 2 2
- 2θ 64.92, intensity 33, hkl 3 3 3
- 2θ 33.97, intensity 29, hkl 2 2 0
- 2θ 60.80, intensity 11, hkl 4 2 2
- 2θ 48.81, intensity 4, hkl 4 0 0
- 2θ 20.61, intensity 4, hkl 1 1 1
- 2θ 53.52, intensity 1, hkl 3 3 1